No. 1
Structure and computed powder diffractogram of Th3GaAs2Rh9 (a structure optimized by DFT (PBE); Cu Ka).
Kinematic intensities with the Lorentz-polarization factor, no thermal factor.

Structure:
```
data_Th3GaAs2Rh9
_space_group_name_H-M_alt 'P -3 m 1'
_space_group_IT_number 164
_space_group_name_Hall '-P 3 2"'
_cell_length_a 7.2471
_cell_length_b 7.2471
_cell_length_c 6.4705
_cell_angle_alpha 90.00
_cell_angle_beta 90.00
_cell_angle_gamma 120.00
loop_
_atom_site_label
_atom_site_fract_x
_atom_site_fract_y
_atom_site_fract_z
Th1 0.0000 0.0000 0.0000
Th2 0.3333 0.6667 0.6639
Ga1 0.0000 0.0000 0.5000
As1 0.3333 0.6667 0.1601
Rh1 0.0000 0.5000 0.0000
Rh2 0.1698 0.3397 0.3365
```

The 10 most intense peaks (2θ = 5–70°), sorted by position:
2θ = 24.57°, intensity 32, hkl 1 1 0
2θ = 31.10°, intensity 18, hkl 0 1 2
2θ = 31.69°, intensity 100, hkl 0 2 1
2θ = 40.03°, intensity 93, hkl 2 0 2
2θ = 41.89°, intensity 16, hkl 0 0 3
2θ = 50.36°, intensity 48, hkl 2 2 0
2θ = 60.74°, intensity 16, hkl 4 0 1
2θ = 64.85°, intensity 22, hkl 0 2 4
2θ = 66.19°, intensity 21, hkl 0 4 2
2θ = 67.52°, intensity 23, hkl 2 2 3

No. 2
Structure and computed powder diffractogram of Th2GaAsRh6 (a structure optimized by DFT (PBE); Cu Ka).
Kinematic intensities with the Lorentz-polarization factor, no thermal factor.

Structure:
```
data_Th2GaAsRh6
_space_group_name_H-M_alt 'P m m n'
_space_group_IT_number 59
_cell_length_a 5.536
_cell_length_b 8.646
_cell_length_c 8.031
_cell_angle_alpha 90.00
_cell_angle_beta 90.00
_cell_angle_gamma 90.00
loop_
_space_group_symop_operation_xyz
'x,y,z'
'-x,-y,-z'
'-x+1/2,-y+1/2,z'
'x+1/2,y+1/2,-z'
'x+1/2,-y,-z'
'-x+1/2,y,z'
'-x,y+1/2,-z'
'x,-y+1/2,z'
loop_
_atom_site_label
_atom_site_fract_x
_atom_site_fract_y
_atom_site_fract_z
Th1 0.250 0.009 0.228
Ga1 0.250 0.750 0.771
As1 0.250 0.250 0.740
Rh1 0.000 0.250 0.486
Rh2 0.005 0.750 0.022
Rh3 0.250 0.000 0.595
```

The 10 most intense peaks (2θ = 5–70°), sorted by position:
2θ = 27.44°, intensity 25, hkl 1 0 2
2θ = 28.45°, intensity 100, hkl 1 2 1
2θ = 30.38°, intensity 73, hkl 0 2 2
2θ = 34.52°, intensity 30, hkl 1 2 2
2θ = 38.62°, intensity 88, hkl 2 2 0
2θ = 39.54°, intensity 80, hkl 2 0 2
2θ = 41.79°, intensity 61, hkl 0 4 0
2θ = 42.97°, intensity 87, hkl 1 2 3
2θ = 58.88°, intensity 48, hkl 2 4 2
2θ = 65.07°, intensity 25, hkl 3 2 3

No. 3
Structure and computed powder diffractogram of GaAs2S4 (a structure optimized by DFT (PBE); Cu Ka).
Kinematic intensities with the Lorentz-polarization factor, no thermal factor.

Structure:
```
data_GaAs2S4
_space_group_name_H-M_alt 'I -4 2 m'
_space_group_IT_number 121
_space_group_name_Hall 'I -4 2'
_cell_length_a 6.333
_cell_length_b 6.333
_cell_length_c 8.630
_cell_angle_alpha 90.00
_cell_angle_beta 90.00
_cell_angle_gamma 90.00
loop_
_atom_site_label
_atom_site_fract_x
_atom_site_fract_y
_atom_site_fract_z
Ga1 0.000 0.000 0.000
As1 0.000 0.500 0.250
S1 0.228 0.228 0.128
```

The 10 most intense peaks (2θ = 5–70°), sorted by position:
2θ = 17.37°, intensity 37, hkl 1 0 1
2θ = 19.83°, intensity 11, hkl 1 1 0
2θ = 28.73°, intensity 100, hkl 1 1 2
2θ = 33.29°, intensity 9, hkl 2 1 1
2θ = 40.28°, intensity 34, hkl 2 2 0
2θ = 50.22°, intensity 39, hkl 3 1 2
2θ = 51.24°, intensity 34, hkl 2 0 4
2θ = 58.27°, intensity 10, hkl 4 0 0
2θ = 66.25°, intensity 8, hkl 3 3 2
2θ = 68.52°, intensity 8, hkl 1 1 6

No. 4
Structure and computed powder diffractogram of Ga4Sb2TeAs (a structure optimized by DFT (PBE); Cu Ka).
Kinematic intensities with the Lorentz-polarization factor, no thermal factor.

Structure:
```
data_Ga4Sb2TeAs
_space_group_name_H-M_alt 'F m m 2'
_space_group_IT_number 42
_space_group_name_Hall 'F 2 -2'
_cell_length_a 8.687
_cell_length_b 9.046
_cell_length_c 12.048
_cell_angle_alpha 90.00
_cell_angle_beta 90.00
_cell_angle_gamma 90.00
loop_
_atom_site_label
_atom_site_fract_x
_atom_site_fract_y
_atom_site_fract_z
Ga1 0.000 0.232 0.000
Ga2 0.232 0.000 0.756
Sb1 0.250 0.250 0.132
Te1 0.000 0.000 0.384
As1 0.000 0.000 0.883
```

The 10 most intense peaks (2θ = 5–70°), sorted by position:
2θ = 24.61°, intensity 82, hkl 0 2 2
2θ = 25.28°, intensity 86, hkl 2 0 2
2θ = 39.86°, intensity 22, hkl 0 4 0
2θ = 41.59°, intensity 100, hkl 2 2 4
2θ = 47.79°, intensity 29, hkl 2 4 2
2θ = 48.92°, intensity 24, hkl 4 2 2
2θ = 49.68°, intensity 15, hkl 0 2 6
2θ = 50.05°, intensity 10, hkl 2 0 6
2θ = 58.97°, intensity 13, hkl 4 4 0
2θ = 66.73°, intensity 11, hkl 4 2 6